Structure and theoretical XRD peak list of Rb2NaAsSe (the GGA-PBE geometry in Alexandria; copper Kα).

Most intense lines, 2θ from 10° to 80°, most intense first:
- 3.447 Å, 25.85 deg, intensity 100, (2 0 0)
- 6.894 Å, 12.84 deg, intensity 72, (1 0 0)
- 3.516 Å, 25.33 deg, intensity 67, (1 1 1)
- 2.044 Å, 44.32 deg, intensity 45, (2 0 2)
- 2.437 Å, 36.88 deg, intensity 39, (2 2 0)
- 1.758 Å, 52.02 deg, intensity 28, (2 2 2)
- 2.003 Å, 45.27 deg, intensity 27, (3 1 1)
- 2.538 Å, 35.36 deg, intensity 22, (0 0 2)
- 5.076 Å, 17.47 deg, intensity 22, (0 0 1)
- 1.318 Å, 71.62 deg, intensity 21, (4 2 2)

Structure:
```
data_Rb2NaAsSe
_cell_length_a 6.894
_cell_length_b 6.894
_cell_length_c 5.076
_cell_angle_alpha 90.00
_cell_angle_beta 90.00
_cell_angle_gamma 90.00
_symmetry_space_group_name_H-M 'P 4/m m m'
_symmetry_Int_Tables_number 123
_symmetry_space_group_name_Hall '-P 4 2'
loop_
_atom_site_label
_atom_site_type_symbol
_atom_site_fract_x
_atom_site_fract_y
_atom_site_fract_z
Rb1 Rb 0.000 0.500 0.000
Na1 Na 0.000 0.000 0.500
As1 As 0.500 0.500 0.000
Se1 Se 0.500 0.500 0.500
```